# NiH12Cl2O6
Calculated powder X-ray diffraction pattern, Cu Kα (λ = 1.5418 Å). Input: the PBE+U geometry in the Materials Project.

```
NiH12Cl2O6
1.0
5.159 -3.531 0.000
5.159 3.531 0.000
-3.563 0.000 5.630
Ni H Cl O
1 12 2 6
direct
0.000 0.000 0.000
0.184 0.184 0.551
0.199 0.585 0.725
0.211 0.673 0.223
0.265 0.265 0.833
0.327 0.789 0.777
0.415 0.801 0.275
0.585 0.199 0.725
0.673 0.211 0.223
0.735 0.735 0.167
0.789 0.327 0.777
0.801 0.415 0.275
0.816 0.816 0.449
0.275 0.275 0.158
0.725 0.725 0.842
0.168 0.762 0.747
0.238 0.832 0.253
0.284 0.284 0.702
0.716 0.716 0.298
0.762 0.168 0.747
0.832 0.238 0.253
```

Main lines, by angle (2θ from 10° to 90°):
5.630 Å, intensity 82; 5.488 Å, intensity 74; 4.964 Å, intensity 28; 4.824 Å, intensity 100; 3.531 Å, intensity 38; 2.991 Å, intensity 35; 2.938 Å, intensity 78; 2.688 Å, intensity 51; 2.412 Å, intensity 47; 1.903 Å, intensity 38

# GdYV2O8
Calculated powder X-ray diffraction pattern, Cu Kα (λ = 1.5418 Å). Input: the PBE+U geometry in the Materials Project.

```
GdYV2O8
1.0
-3.633 3.633 3.191
3.633 -3.633 3.191
3.633 3.633 -3.191
Gd Y V O
1 1 2 8
direct
0.000 0.000 0.000
0.750 0.250 0.500
0.250 0.750 0.500
0.500 0.500 0.000
0.073 0.391 0.317
0.073 0.756 0.683
0.142 0.327 0.815
0.244 0.927 0.317
0.511 0.327 0.185
0.609 0.927 0.683
0.673 0.489 0.815
0.673 0.858 0.185
```

Main lines, by angle (2θ from 10° to 90°):
4.795 Å, intensity 30; 3.633 Å, intensity 100; 2.711 Å, intensity 66; 2.569 Å, intensity 19; 2.264 Å, intensity 14; 1.865 Å, intensity 57; 1.816 Å, intensity 16; 1.625 Å, intensity 13; 1.509 Å, intensity 17; 1.356 Å, intensity 12

# DyMgMn2O4
Calculated powder X-ray diffraction pattern, Cu Kα (λ = 1.5418 Å). Input: the PBE+U geometry in the Materials Project.

```
DyMgMn2O4
1.0
1.677 0.968 11.192
-1.677 0.968 11.192
0.000 -1.937 11.192
Dy Mg Mn O
1 1 2 4
direct
0.000 0.000 0.000
0.500 0.500 0.500
0.239 0.239 0.239
0.761 0.761 0.761
0.132 0.132 0.132
0.299 0.299 0.299
0.701 0.701 0.701
0.868 0.868 0.868
```

Main lines, by angle (2θ from 10° to 90°):
5.596 Å, intensity 26; 3.731 Å, intensity 41; 2.895 Å, intensity 37; 2.746 Å, intensity 100; 2.485 Å, intensity 19; 2.389 Å, intensity 74; 1.930 Å, intensity 28; 1.701 Å, intensity 21; 1.677 Å, intensity 38; 1.633 Å, intensity 19

# MgW2O4
Calculated powder X-ray diffraction pattern, Cu Kα (λ = 1.5418 Å). Input: the PBE+U geometry in the Materials Project.

```
MgW2O4
1.0
7.784 -1.605 0.000
7.784 1.605 0.000
-6.381 0.000 7.705
Mg W O
2 4 8
direct
0.185 0.185 0.200
0.815 0.815 0.800
0.136 0.136 0.451
0.355 0.355 0.182
0.645 0.645 0.818
0.864 0.864 0.549
0.037 0.037 0.760
0.282 0.282 0.906
0.329 0.329 0.672
0.357 0.357 0.402
0.643 0.643 0.598
0.671 0.671 0.328
0.718 0.718 0.094
0.963 0.963 0.240
```

Main lines, by angle (2θ from 10° to 90°):
7.682 Å, intensity 56; 5.995 Å, intensity 20; 5.002 Å, intensity 54; 3.213 Å, intensity 42; 2.997 Å, intensity 39; 2.723 Å, intensity 100; 2.635 Å, intensity 41; 2.567 Å, intensity 25; 1.946 Å, intensity 38; 1.527 Å, intensity 24

# Li2MnP2O7
Calculated powder X-ray diffraction pattern, Cu Kα (λ = 1.5418 Å). Input: the PBE+U geometry in the Materials Project.

```
Li2MnP2O7
1.0
8.658 0.000 0.000
0.000 5.112 0.000
-6.163 0.000 12.878
Li Mn P O
8 4 8 28
direct
0.001 0.212 0.423
0.001 0.288 0.923
0.449 0.734 0.326
0.449 0.766 0.826
0.551 0.234 0.174
0.551 0.266 0.674
0.999 0.712 0.077
0.999 0.788 0.577
0.278 0.739 0.517
0.278 0.761 0.017
0.722 0.239 0.983
0.722 0.261 0.483
0.180 0.224 0.147
0.180 0.276 0.647
0.303 0.234 0.376
0.303 0.266 0.876
0.697 0.734 0.124
0.697 0.766 0.624
0.820 0.724 0.353
0.820 0.776 0.853
0.003 0.181 0.567
0.003 0.319 0.067
0.166 0.228 0.756
0.166 0.272 0.256
0.206 0.571 0.639
0.206 0.929 0.139
0.214 0.138 0.936
0.214 0.362 0.436
0.325 0.107 0.646
0.325 0.393 0.146
0.332 0.560 0.898
0.332 0.940 0.398
0.466 0.122 0.887
0.466 0.378 0.387
0.534 0.622 0.613
0.534 0.878 0.113
0.668 0.060 0.602
0.668 0.440 0.102
0.675 0.607 0.854
0.675 0.893 0.354
0.786 0.638 0.564
0.786 0.862 0.064
0.794 0.071 0.861
0.794 0.429 0.361
0.834 0.728 0.744
0.834 0.772 0.244
0.997 0.681 0.933
0.997 0.819 0.433
```

Main lines, by angle (2θ from 10° to 90°):
6.439 Å, intensity 45; 4.029 Å, intensity 100; 3.905 Å, intensity 64; 3.224 Å, intensity 20; 2.926 Å, intensity 48; 2.839 Å, intensity 14; 2.556 Å, intensity 25; 2.511 Å, intensity 17; 2.360 Å, intensity 24; 2.322 Å, intensity 13